Record 1
Starting from the PBE geometry in OQMD, the powder diffractogram of CdPd15 was calculated for Cu Kα, 1.54184 Å.

Crystal structure
abc: 3.9368 3.9373 44.9819
angles: 90.00 90.00 90.00
Space group Pmma (No. 51)
Asymmetric unit:
Cd (0.2500, 0.0000, 0.1661) x2
Pd (0.2500, 0.0000, 0.2583) x2
Pd (0.2500, 0.0000, 0.3461) x2
Pd (0.2500, 0.0000, 0.4339) x2
Pd (0.2500, 0.0000, 0.5220) x2
Pd (0.2500, 0.0000, 0.6100) x2
Pd (0.2500, 0.0000, 0.6978) x2
Pd (0.2500, 0.0000, 0.7860) x2
Pd (0.2500, 0.5000, 0.2140) x2
Pd (0.2500, 0.5000, 0.3022) x2
Pd (0.2500, 0.5000, 0.3899) x2
Pd (0.2500, 0.5000, 0.4780) x2
Pd (0.2500, 0.5000, 0.5660) x2
Pd (0.2500, 0.5000, 0.6540) x2
Pd (0.2500, 0.5000, 0.7416) x2
Pd (0.2500, 0.5000, 0.8300) x2

Top 8 peaks for 2θ = 10–90°, sorted by position:
- 2θ 39.15, 2.301 Å, rel. 100.0, hkl 1 1 11
- 2θ 40.36, 2.235 Å, rel. 52.8, hkl 1 1 12
- 2θ 46.12, 1.968 Å, rel. 48.0, hkl 2 0 0
- 2θ 46.43, 1.956 Å, rel. 15.8, hkl 0 0 23
- 2θ 67.27, 1.392 Å, rel. 15.2, hkl 2 2 0
- 2θ 67.51, 1.387 Å, rel. 20.0, hkl 2 0 23
- 2θ 80.36, 1.195 Å, rel. 13.9, hkl 1 1 34
- 2θ 80.67, 1.191 Å, rel. 23.4, hkl 3 1 11

Record 2
Starting from the PBE geometry in OQMD, the powder diffractogram of CdPd17 was calculated for Cu Kα, 1.54184 Å.

Crystal structure
abc: 5.5626 5.5626 33.5529
angles: 90.00 90.00 120.00
Space group P-3m1 (No. 164)
Asymmetric unit:
Cd (0.3333, 0.6667, 0.2795) x2
Pd (0.0000, 0.0000, 0.0000) x1
Pd (0.0000, 0.0000, 0.2039) x2
Pd (0.0000, 0.5000, 0.0000) x3
Pd (0.0012, 0.5006, 0.2045) x6
Pd (0.1661, 0.3322, 0.7277) x6
Pd (0.1666, 0.3332, 0.9321) x6
Pd (0.1668, 0.3337, 0.1361) x6
Pd (0.3333, 0.6667, 0.0681) x2
Pd (0.3333, 0.6667, 0.8641) x2

Top 8 peaks for 2θ = 10–90°, sorted by position:
- 2θ 37.53, 2.397 Å, rel. 23.2, hkl 0 0 14
- 2θ 38.90, 2.315 Å, rel. 38.8, hkl 2 0 4
- 2θ 39.76, 2.267 Å, rel. 100.0, hkl 2 0 5
- 2θ 40.32, 2.237 Å, rel. 27.1, hkl 0 0 15
- 2θ 44.80, 2.023 Å, rel. 34.4, hkl 0 2 9
- 2θ 46.41, 1.957 Å, rel. 60.1, hkl 0 2 10
- 2θ 67.35, 1.390 Å, rel. 30.6, hkl 2 2 0
- 2θ 81.50, 1.181 Å, rel. 20.2, hkl 2 2 15

Record 3
Starting from the PBE geometry in OQMD, the powder diffractogram of Cd2Pd7 was calculated for Cu Kα, 1.54184 Å.

Crystal structure
abc: 2.8351 2.8351 30.1343
angles: 90.00 90.00 120.00
Space group P-3m1 (No. 164)
Asymmetric unit:
Cd (0.3333, 0.6667, 0.3025) x2
Pd (0.0000, 0.0000, 0.0000) x1
Pd (0.0000, 0.0000, 0.2239) x2
Pd (0.3333, 0.6667, 0.0743) x2
Pd (0.3333, 0.6667, 0.8513) x2

Top 8 peaks for 2θ = 10–90°, sorted by position:
- 2θ 38.57, 2.334 Å, rel. 100.0, hkl 0 1 4
- 2θ 38.85, 2.318 Å, rel. 36.9, hkl 0 0 13
- 2θ 39.64, 2.274 Å, rel. 77.3, hkl 0 1 5
- 2θ 44.02, 2.057 Å, rel. 24.6, hkl 1 0 8
- 2θ 45.83, 1.980 Å, rel. 78.5, hkl 1 0 9
- 2θ 65.91, 1.417 Å, rel. 34.8, hkl 1 1 0
- 2θ 67.75, 1.383 Å, rel. 22.0, hkl 0 1 18
- 2θ 79.21, 1.209 Å, rel. 26.4, hkl 1 1 13

Record 4
Starting from the PBE geometry in OQMD, the powder diffractogram of Pr6Cd4Pd13 was calculated for Cu Kα, 1.54184 Å.

Crystal structure
abc: 9.8971 9.8971 9.8971
angles: 90.00 90.00 90.00
Space group Im-3m (No. 229)
Asymmetric unit:
Pr (0.0000, 0.0000, 0.3022) x12
Cd (0.2500, 0.2500, 0.2500) x8
Pd (0.0000, 0.0000, 0.0000) x2
Pd (0.0000, 0.3407, 0.3407) x24

Top 8 peaks for 2θ = 10–90°, sorted by position:
- 2θ 28.52, 3.130 Å, rel. 22.7, hkl 3 1 0
- 2θ 31.31, 2.857 Å, rel. 15.1, hkl 2 2 2
- 2θ 33.89, 2.645 Å, rel. 9.3, hkl 3 2 1
- 2θ 36.31, 2.474 Å, rel. 13.8, hkl 4 0 0
- 2θ 38.60, 2.333 Å, rel. 100.0, hkl 3 3 0
- 2θ 40.77, 2.213 Å, rel. 10.9, hkl 4 2 0
- 2θ 69.84, 1.347 Å, rel. 30.1, hkl 6 3 3
- 2θ 82.74, 1.166 Å, rel. 11.3, hkl 6 6 0

Record 5
Starting from the PBE geometry in OQMD, the powder diffractogram of CdPdPt2S6 was calculated for Cu Kα, 1.54184 Å.

Crystal structure
abc: 8.6829 12.0802 3.6825
angles: 90.00 90.00 90.00
Space group Cmmm (No. 65)
Asymmetric unit:
Cd (0.0000, 0.0000, 0.0000) x2
Pd (0.0000, 0.5000, 0.0000) x2
Pt (0.2500, 0.2500, 0.5000) x4
S (0.0000, 0.1637, 0.5000) x4
S (0.2045, 0.3742, 0.0000) x8

Top 8 peaks for 2θ = 10–90°, sorted by position:
- 2θ 25.26, 3.525 Å, rel. 100.0, hkl 2 2 0
- 2θ 28.39, 3.144 Å, rel. 91.7, hkl 0 2 1
- 2θ 31.86, 2.809 Å, rel. 32.5, hkl 2 0 1
- 2θ 41.60, 2.171 Å, rel. 21.1, hkl 4 0 0
- 2θ 44.03, 2.057 Å, rel. 77.0, hkl 2 4 1
- 2θ 49.93, 1.827 Å, rel. 21.1, hkl 2 6 0
- 2θ 51.13, 1.786 Å, rel. 35.8, hkl 4 2 1
- 2θ 56.38, 1.632 Å, rel. 22.2, hkl 2 2 2

Record 6
Starting from the PBE geometry in OQMD, the powder diffractogram of ScCdPd was calculated for Cu Kα, 1.54184 Å.

Crystal structure
abc: 3.5011 3.5011 9.2382
angles: 90.00 90.00 90.00
Space group I4mm (No. 107)
Asymmetric unit:
Sc (0.0000, 0.0000, 0.0000) x2
Cd (0.0000, 0.0000, 0.3161) x2
Pd (0.0000, 0.0000, 0.6437) x2

Top 8 peaks for 2θ = 10–90°, sorted by position:
- 2θ 27.24, 3.274 Å, rel. 18.3, hkl 1 0 1
- 2θ 36.29, 2.476 Å, rel. 60.8, hkl 1 1 0
- 2θ 38.95, 2.312 Å, rel. 100.0, hkl 1 0 3
- 2θ 52.26, 1.751 Å, rel. 20.5, hkl 2 0 0
- 2θ 67.06, 1.396 Å, rel. 38.8, hkl 2 1 3
- 2θ 72.26, 1.307 Å, rel. 13.7, hkl 1 1 6
- 2θ 83.64, 1.156 Å, rel. 9.3, hkl 2 0 6
- 2θ 89.89, 1.091 Å, rel. 9.6, hkl 3 0 3

Record 7
Starting from the PBE geometry in OQMD, the powder diffractogram of ThCdPd6 was calculated for Cu Kα, 1.54184 Å.

Crystal structure
abc: 5.8865 5.8865 4.7028
angles: 90.00 90.00 120.00
Space group P-6m2 (No. 187)
Asymmetric unit:
Th (0.0000, 0.0000, 0.0000) x1
Cd (0.6667, 0.3333, 0.5000) x1
Pd (0.0026, 0.5013, 0.0000) x3
Pd (0.1716, 0.3432, 0.5000) x3

Top 8 peaks for 2θ = 10–90°, sorted by position:
- 2θ 35.21, 2.549 Å, rel. 25.0, hkl 2 0 0
- 2θ 38.28, 2.351 Å, rel. 25.5, hkl 0 0 2
- 2θ 40.24, 2.241 Å, rel. 100.0, hkl 2 0 1
- 2θ 52.98, 1.728 Å, rel. 15.4, hkl 2 0 2
- 2θ 63.18, 1.472 Å, rel. 17.2, hkl 2 2 0
- 2θ 70.53, 1.335 Å, rel. 18.7, hkl 2 0 3
- 2θ 76.34, 1.247 Å, rel. 19.7, hkl 2 2 2
- 2θ 77.62, 1.230 Å, rel. 14.2, hkl 4 0 1

Record 8
Starting from the PBE geometry in OQMD, the powder diffractogram of Y10Cd3Pd was calculated for Cu Kα, 1.54184 Å.

Crystal structure
abc: 9.7170 9.7170 9.7815
angles: 90.00 90.00 120.00
Space group P6_3/mmc (No. 194)
Asymmetric unit:
Y (0.0000, 0.0000, 0.0000) x2
Y (0.0873, 0.5437, 0.2500) x6
Y (0.2075, 0.4150, 0.5584) x12
Cd (0.1155, 0.2310, 0.2500) x6
Pd (0.3333, 0.6667, 0.7500) x2

Top 8 peaks for 2θ = 10–90°, sorted by position:
- 2θ 29.38, 3.040 Å, rel. 16.4, hkl 1 0 3
- 2θ 33.23, 2.696 Å, rel. 73.2, hkl 3 0 1
- 2θ 33.61, 2.666 Å, rel. 100.0, hkl 2 1 2
- 2θ 34.81, 2.577 Å, rel. 48.7, hkl 2 0 3
- 2θ 37.00, 2.430 Å, rel. 16.1, hkl 2 2 0
- 2θ 56.85, 1.619 Å, rel. 23.5, hkl 3 3 0
- 2θ 57.43, 1.605 Å, rel. 28.0, hkl 3 0 5
- 2θ 57.95, 1.591 Å, rel. 19.2, hkl 5 0 2

Record 9
Starting from the PBE geometry in OQMD, the powder diffractogram of ZrCd4Pd2 was calculated for Cu Kα, 1.54184 Å.

Crystal structure
abc: 6.0970 6.0970 3.8172
angles: 90.00 90.00 90.00
Space group P4/mmm (No. 123)
Asymmetric unit:
Zr (0.0000, 0.0000, 0.0000) x1
Cd (0.2672, 0.2672, 0.5000) x4
Pd (0.0000, 0.5000, 0.0000) x2

Top 8 peaks for 2θ = 10–90°, sorted by position:
- 2θ 37.77, 2.382 Å, rel. 100.0, hkl 2 0 1
- 2θ 41.91, 2.156 Å, rel. 36.0, hkl 2 2 0
- 2θ 47.65, 1.909 Å, rel. 13.0, hkl 0 0 2
- 2θ 60.77, 1.524 Å, rel. 10.9, hkl 4 0 0
- 2θ 65.30, 1.429 Å, rel. 18.4, hkl 2 2 2
- 2θ 73.80, 1.284 Å, rel. 23.5, hkl 4 2 1
- 2θ 80.67, 1.191 Å, rel. 9.5, hkl 4 0 2
- 2θ 82.07, 1.174 Å, rel. 9.9, hkl 2 0 3

Record 10
Starting from the PBE geometry in OQMD, the powder diffractogram of Zr2CdPd3 was calculated for Cu Kα, 1.54184 Å.

Crystal structure
abc: 3.5217 3.5217 8.9080
angles: 90.00 90.00 90.00
Space group P4mm (No. 99)
Asymmetric unit:
Zr (0.0000, 0.0000, 0.0000) x1
Zr (0.5000, 0.5000, 0.4651) x1
Cd (0.0000, 0.0000, 0.6625) x1
Pd (0.0000, 0.0000, 0.3254) x1
Pd (0.5000, 0.5000, 0.1491) x1
Pd (0.5000, 0.5000, 0.8260) x1

Top 8 peaks for 2θ = 10–90°, sorted by position:
- 2θ 36.07, 2.490 Å, rel. 68.5, hkl 1 1 0
- 2θ 39.70, 2.270 Å, rel. 100.0, hkl 1 0 3
- 2θ 51.93, 1.761 Å, rel. 23.5, hkl 2 0 0
- 2θ 67.29, 1.391 Å, rel. 40.3, hkl 2 1 3
- 2θ 74.39, 1.275 Å, rel. 13.2, hkl 1 1 6
- 2θ 85.56, 1.135 Å, rel. 9.3, hkl 2 0 6
- 2θ 87.61, 1.114 Å, rel. 10.5, hkl 3 1 0
- 2θ 89.85, 1.092 Å, rel. 9.5, hkl 3 0 3

Record 11
Starting from the PBE geometry in OQMD, the powder diffractogram of Zr4CdPd was calculated for Cu Kα, 1.54184 Å.

Crystal structure
abc: 3.3368 3.3368 11.5519
angles: 90.00 90.00 90.00
Space group P4/mmm (No. 123)
Asymmetric unit:
Zr (0.0000, 0.0000, 0.1488) x2
Zr (0.5000, 0.5000, 0.3259) x2
Cd (0.0000, 0.0000, 0.5000) x1
Pd (0.5000, 0.5000, 0.0000) x1

Top 8 peaks for 2θ = 10–90°, sorted by position:
- 2θ 35.60, 2.522 Å, rel. 100.0, hkl 1 0 3
- 2θ 38.14, 2.359 Å, rel. 42.9, hkl 1 1 0
- 2θ 47.21, 1.925 Å, rel. 9.7, hkl 0 0 6
- 2θ 55.04, 1.668 Å, rel. 14.4, hkl 2 0 0
- 2θ 62.24, 1.492 Å, rel. 16.5, hkl 1 1 6
- 2θ 67.29, 1.391 Å, rel. 29.4, hkl 2 1 3
- 2θ 75.39, 1.261 Å, rel. 9.3, hkl 2 0 6
- 2θ 80.11, 1.198 Å, rel. 6.4, hkl 1 0 9

Record 12
Starting from the PBE geometry in OQMD, the powder diffractogram of Pm3CdPt8 was calculated for Cu Kα, 1.54184 Å.

Crystal structure
abc: 5.4683 5.4683 26.8326
angles: 90.00 90.00 120.00
Space group R3m (No. 160, hexagonal axes)
Asymmetric unit:
Pm (0.0000, 0.0000, 0.0000) x3
Pm (0.0000, 0.0000, 0.1283) x3
Pm (0.0000, 0.0000, 0.5128) x3
Cd (0.0000, 0.0000, 0.6347) x3
Pt (0.0000, 0.0000, 0.3178) x3
Pt (0.0000, 0.0000, 0.8180) x3
Pt (0.0004, 0.5002, 0.0688) x9
Pt (0.1681, 0.3362, 0.9008) x9

Top 8 peaks for 2θ = 10–90°, sorted by position:
- 2θ 19.87, 4.467 Å, rel. 18.4, hkl 0 0 6
- 2θ 32.74, 2.736 Å, rel. 17.7, hkl 1 1 0
- 2θ 38.59, 2.333 Å, rel. 100.0, hkl 2 0 2
- 2θ 40.38, 2.234 Å, rel. 52.3, hkl 0 2 4
- 2θ 62.34, 1.489 Å, rel. 19.9, hkl 2 1 10
- 2θ 62.38, 1.489 Å, rel. 12.3, hkl 3 0 6
- 2θ 68.61, 1.368 Å, rel. 29.7, hkl 2 2 0
- 2θ 82.72, 1.167 Å, rel. 15.3, hkl 2 0 20